Li2AgF3: simulated PXRD pattern (Cu Kα (weighted mean of Kα1 and Kα2)), based on a structure optimized by DFT (GGA-PBE).
Lines closer than 0.1° are merged.

Atomic structure:
a b c (Å): 5.9557 5.9557 5.2879
angles (deg): 97.81 97.81 127.63
Sites, in units of the cell vectors:
Li: 0.1467 0.8533 0.7500
Li: 0.2454 0.7546 0.2500
Li: 0.7546 0.2454 0.7500
Li: 0.8533 0.1467 0.2500
Ag: 0.4419 0.5581 0.7500
Ag: 0.5581 0.4419 0.2500
F: 0.0000 0.5000 0.5000
F: 0.1027 0.3444 0.0324
F: 0.3444 0.1027 0.5324
F: 0.5000 0.0000 0.0000
F: 0.6556 0.8973 0.4676
F: 0.8973 0.6556 0.9676

Largest 12 diffraction maxima, in order of falling intensity, 2θ from 5° to 70°:
2θ/deg, I (rel.)
19.60, 100
38.48, 46
35.67, 38
16.59, 26
38.13, 25
24.30, 25
42.40, 21
47.58, 19
39.60, 16
39.80, 15
38.79, 15
45.87, 14

Li2AgF3: simulated PXRD pattern (Cu Kα (weighted mean of Kα1 and Kα2)), based on a structure optimized by DFT (GGA-PBE).
Lines closer than 0.1° are merged.

Atomic structure:
a b c (Å): 5.9075 2.9426 8.1384
angles (deg): 90.00 103.18 90.00
Sites, in units of the cell vectors:
Li: 0.0191 0.2500 0.3406
Li: 0.1871 0.2500 0.9738
Li: 0.8129 0.7500 0.0262
Li: 0.9809 0.7500 0.6594
Ag: 0.4853 0.2500 0.6689
Ag: 0.5147 0.7500 0.3311
F: 0.1499 0.7500 0.1355
F: 0.1819 0.7500 0.4738
F: 0.2693 0.7500 0.8314
F: 0.7307 0.2500 0.1686
F: 0.8181 0.2500 0.5262
F: 0.8501 0.2500 0.8645

Largest 12 diffraction maxima, in order of falling intensity, 2θ from 5° to 70°:
2θ/deg, I (rel.)
15.41, 100
11.17, 66
40.75, 53
32.46, 41
34.94, 32
33.96, 30
39.21, 30
43.63, 27
21.05, 27
43.34, 27
38.09, 25
47.43, 25

Li4Ag3F12: simulated PXRD pattern (Cu Kα (weighted mean of Kα1 and Kα2)), based on a structure optimized by DFT (GGA-PBE).
Lines closer than 0.1° are merged.

Atomic structure:
a b c (Å): 6.7476 6.7476 6.7476
angles (deg): 109.47 109.47 109.47
Sites, in units of the cell vectors:
Li: 0.0000 0.0000 0.5000
Li: 0.0000 0.5000 0.0000
Li: 0.5000 0.0000 0.0000
Li: 0.5000 0.5000 0.5000
Ag: 0.0000 0.5000 0.5000
Ag: 0.5000 0.0000 0.5000
Ag: 0.5000 0.5000 0.0000
F: 0.1331 0.8164 0.3167
F: 0.1836 0.3167 0.5003
F: 0.1836 0.6833 0.8669
F: 0.3167 0.1331 0.8164
F: 0.3167 0.5003 0.1836
F: 0.5003 0.1836 0.3167
F: 0.4997 0.8164 0.6833
F: 0.6833 0.4997 0.8164
F: 0.6833 0.8669 0.1836
F: 0.8164 0.3167 0.1331
F: 0.8164 0.6833 0.4997
F: 0.8669 0.1836 0.6833

Largest 12 diffraction maxima, in order of falling intensity, 2θ from 5° to 70°:
2θ/deg, I (rel.)
22.83, 100
16.09, 88
32.50, 80
40.09, 64
57.99, 55
28.05, 46
52.53, 34
46.63, 30
36.47, 26
43.46, 20
49.64, 18
68.07, 13